Structure and theoretical XRD peak list of BC5 (a crystal structure in Alexandria, relaxed with PBE; Cu Ka).

The 8 most intense peaks (10° ≤ 2θ ≤ 80°), sorted by position:
2θ (°)	d/Å	I/Imax	hkl
19.65	4.517	6	1 0 0
24.00	3.708	3	1 0 -1
28.07	3.179	2	0 0 2
42.68	2.119	92	2 0 1
43.43	2.084	100	1 1 -1
73.23	1.293	50	3 1 0
73.35	1.291	13	2 0 4
75.48	1.260	12	0 2 0

```
data_BC5
_cell_length_a 4.518
_cell_length_b 2.519
_cell_length_c 6.358
_cell_angle_alpha 90.00
_cell_angle_beta 90.85
_cell_angle_gamma 90.00
_space_group_name_H-M_alt 'P 1 21/m 1'
_space_group_IT_number 11
_space_group_name_Hall '-P 2yb'
loop_
_atom_site_label
_atom_site_type_symbol
_atom_site_fract_x
_atom_site_fract_y
_atom_site_fract_z
_atom_site_occupancy
B1 B 0.072 0.250 0.212 1
C1 C 0.084 0.250 0.463 1
C2 C 0.264 0.750 0.875 1
C3 C 0.268 0.750 0.112 1
C4 C 0.418 0.250 0.542 1
C5 C 0.423 0.250 0.789 1
```